1.
The following is a calculated powder diffractogram of RbCdAg3C6N6. It was derived from a structure optimized by DFT (PBE), using λ = 1.5418 Å (Cu Kα).
Lines closer than 0.1° are merged.

The 10 most intense peaks (10° ≤ 2θ ≤ 90°), sorted by position:
d [Å], I (rel.), h k l
5.038, 100, 1 0 1
4.087, 32, 0 0 2
3.366, 67, 2 -1 1
3.199, 42, 2 0 0
2.979, 37, 2 0 1
2.519, 51, 2 0 2
2.193, 20, 1 1 3
2.064, 21, 3 0 1
1.722, 15, 2 0 4
1.683, 24, 4 -2 2

Cell and atoms:
```
data_RbCdAg3C6N6
_cell_length_a 7.3880
_cell_length_b 7.3880
_cell_length_c 8.1743
_cell_angle_alpha 90.00
_cell_angle_beta 90.00
_cell_angle_gamma 120.00
_space_group_name_H-M_alt 'P 3 1 2'
_space_group_IT_number 149
_space_group_name_Hall 'P 3 2'
loop_
_atom_site_label
_atom_site_fract_x
_atom_site_fract_y
_atom_site_fract_z
Rb1 0.0000 0.0000 0.0000
Cd1 0.6667 0.3333 0.0000
Ag1 0.1845 0.3690 0.5000
C1 0.0206 0.3506 0.2914
N1 0.4102 0.0776 0.1736
```

***

2.
The following is a calculated powder diffractogram of RbGd2C. It was derived from a structure optimized by DFT (PBE), using λ = 1.5418 Å (Cu Kα).
Lines closer than 0.1° are merged.

The 10 most intense peaks (10° ≤ 2θ ≤ 90°), sorted by position:
d [Å], I (rel.), h k l
3.543, 42, 0 0 9
3.212, 100, 1 0 1
2.992, 43, 1 0 4
2.634, 60, 1 0 7
2.509, 98, 0 1 8
1.864, 43, 1 1 0
1.696, 30, 1 0 16
1.649, 29, 1 1 9
1.496, 20, 2 0 8
1.401, 17, 1 1 15

Cell and atoms:
```
data_RbGd2C
_cell_length_a 3.7274
_cell_length_b 3.7274
_cell_length_c 31.8905
_cell_angle_alpha 90.00
_cell_angle_beta 90.00
_cell_angle_gamma 120.00
_space_group_name_H-M_alt 'R -3 m'
_space_group_IT_number 166
_space_group_name_Hall '-R 3 2"'
loop_
_atom_site_label
_atom_site_fract_x
_atom_site_fract_y
_atom_site_fract_z
Rb1 0.0000 0.0000 0.0000
Gd1 0.0000 0.0000 0.1252
C1 0.0000 0.0000 0.5000
```

***

3.
The following is a calculated powder diffractogram of Rb2Ho2PaTe6. It was derived from a structure optimized by DFT (PBE), using λ = 1.5418 Å (Cu Kα).
Lines closer than 0.1° are merged.

The 10 most intense peaks (10° ≤ 2θ ≤ 90°), sorted by position:
d [Å], I (rel.), h k l
8.803, 60, 0 0 1
3.323, 100, 1 3 1
2.693, 23, 2 0 -3
2.505, 35, 2 0 2
2.220, 36, 0 6 0
2.153, 12, 3 3 -2
2.037, 15, 1 3 -4
1.846, 19, 4 0 0
1.661, 10, 2 6 2
1.419, 16, 4 6 0

Cell and atoms:
```
data_Rb2Ho2PaTe6
_cell_length_a 7.6921
_cell_length_b 13.3179
_cell_length_c 9.1733
_cell_angle_alpha 90.00
_cell_angle_beta 106.32
_cell_angle_gamma 90.00
_space_group_name_H-M_alt 'C 1 2/m 1'
_space_group_IT_number 12
_space_group_name_Hall '-C 2y'
loop_
_atom_site_label
_atom_site_fract_x
_atom_site_fract_y
_atom_site_fract_z
Rb1 0.0000 0.1665 0.0000
Ho1 0.0000 0.3326 0.5000
Pa1 0.0000 0.0000 0.5000
Te1 0.2309 0.5000 0.6966
Te2 0.2338 0.1659 0.6978
```

***

4.
The following is a calculated powder diffractogram of Cs2Rb5NaAu. It was derived from a structure optimized by DFT (PBE), using λ = 1.5418 Å (Cu Kα).
Lines closer than 0.1° are merged.

The 10 most intense peaks (10° ≤ 2θ ≤ 90°), sorted by position:
d [Å], I (rel.), h k l
8.096, 71, 1 0 1
4.971, 65, 1 1 2
4.212, 33, 2 1 1
4.048, 97, 2 0 2
3.543, 50, 0 0 4
3.487, 100, 2 2 0
2.855, 33, 3 1 2
2.485, 76, 2 2 4
2.466, 39, 4 0 0
2.024, 41, 4 0 4

Cell and atoms:
```
data_Cs2Rb5NaAu
_cell_length_a 9.8632
_cell_length_b 9.8632
_cell_length_c 14.1724
_cell_angle_alpha 90.00
_cell_angle_beta 90.00
_cell_angle_gamma 90.00
_space_group_name_H-M_alt 'I 4 m m'
_space_group_IT_number 107
_space_group_name_Hall 'I 4 -2'
loop_
_atom_site_label
_atom_site_fract_x
_atom_site_fract_y
_atom_site_fract_z
Cs1 0.0000 0.5000 0.0000
Rb1 0.0000 0.0000 0.0172
Rb2 0.2494 0.2494 0.2529
Na1 0.0000 0.0000 0.4838
Au1 0.0000 0.0000 0.2689
```

***

5.
The following is a calculated powder diffractogram of InTc2Te. It was derived from a structure optimized by DFT (PBE), using λ = 1.5418 Å (Cu Kα).
Lines closer than 0.1° are merged.

The 10 most intense peaks (10° ≤ 2θ ≤ 90°), sorted by position:
d [Å], I (rel.), h k l
6.620, 1, 0 0 1
3.252, 1, 1 0 0
2.320, 100, 1 0 2
2.300, 49, 1 1 0
1.655, 8, 0 0 4
1.626, 16, 2 0 0
1.343, 16, 1 1 4
1.332, 33, 2 1 2
1.160, 10, 2 0 4
1.150, 5, 2 2 0

Cell and atoms:
```
data_InTc2Te
_cell_length_a 3.2522
_cell_length_b 3.2522
_cell_length_c 6.6203
_cell_angle_alpha 90.00
_cell_angle_beta 90.00
_cell_angle_gamma 90.00
_space_group_name_H-M_alt 'P 4/m m m'
_space_group_IT_number 123
_space_group_name_Hall '-P 4 2'
loop_
_atom_site_label
_atom_site_fract_x
_atom_site_fract_y
_atom_site_fract_z
In1 0.0000 0.0000 0.0000
Tc1 0.5000 0.5000 0.2617
Te1 0.0000 0.0000 0.5000
```

***

6.
The following is a calculated powder diffractogram of Pr3Nd3ErS8. It was derived from a structure optimized by DFT (PBE), using λ = 1.5418 Å (Cu Kα).
Lines closer than 0.1° are merged.

The 10 most intense peaks (10° ≤ 2θ ≤ 90°), sorted by position:
d [Å], I (rel.), h k l
6.645, 19, 0 0 3
3.322, 65, 0 0 6
2.877, 100, 0 2 4
2.037, 36, 2 0 8
2.032, 36, 2 2 0
1.735, 25, 0 2 10
1.660, 19, 4 0 4
1.288, 16, 2 2 12
1.286, 16, 2 4 4
1.174, 18, 6 0 0

Cell and atoms:
```
data_Pr3Nd3ErS8
_cell_length_a 8.1287
_cell_length_b 8.1287
_cell_length_c 19.9753
_cell_angle_alpha 90.00
_cell_angle_beta 90.00
_cell_angle_gamma 120.00
_space_group_name_H-M_alt 'R -3 m'
_space_group_IT_number 166
_space_group_name_Hall '-R 3 2"'
loop_
_atom_site_label
_atom_site_fract_x
_atom_site_fract_y
_atom_site_fract_z
Pr1 0.0000 0.5000 0.0000
Nd1 0.0000 0.5000 0.5000
Er1 0.0000 0.0000 0.5000
S1 0.0000 0.0000 0.2490
S2 0.0123 0.5061 0.2460
```